Starting from a structure optimized by DFT (GGA-PBE), the PXRD pattern of ErSeF was calculated for Cu Kα, 1.54184 Å.

Main lines, in order of rising 2θ (2θ from 15° to 90°):
20.17°, intensity 24; 22.78°, intensity 27; 26.03°, intensity 100; 27.56°, intensity 13; 30.45°, intensity 16; 37.13°, intensity 22; 40.49°, intensity 32; 42.55°, intensity 14; 42.83°, intensity 18; 44.18°, intensity 21; 44.42°, intensity 23; 80.66°, intensity 15

Structural model:
```
data_ErSeF
_symmetry_space_group_name_H-M 'P n m a'
_symmetry_Int_Tables_number 62
_cell_length_a 9.9561
_cell_length_b 4.0790
_cell_length_c 18.8798
_cell_angle_alpha 90.00
_cell_angle_beta 90.00
_cell_angle_gamma 90.00
loop_
_symmetry_equiv_pos_as_xyz
'x,y,z'
'-x,-y,-z'
'-x+1/2,-y,z+1/2'
'x+1/2,y,-z+1/2'
'x+1/2,-y+1/2,-z+1/2'
'-x+1/2,y+1/2,z+1/2'
'-x,y+1/2,-z'
'x,-y+1/2,z'
loop_
_atom_site_label
_atom_site_type_symbol
_atom_site_fract_x
_atom_site_fract_y
_atom_site_fract_z
Er1 Er 0.0767 0.2500 0.0814
Er2 Er 0.0909 0.2500 0.4168
Er3 Er 0.2432 0.7500 0.2405
Se1 Se 0.0040 0.7500 0.3226
Se2 Se 0.1651 0.7500 0.8417
Se3 Se 0.1658 0.7500 0.5139
F1 F 0.0267 0.7500 0.0268
F2 F 0.1301 0.7500 0.1379
F3 F 0.2015 0.2500 0.1946
```